Record 1
Diffraction record for V5Ge4Mo2. The powder diffractogram is simulated, not measured: it uses a GGA-PBE-relaxed structure and copper Kα.
Kinematic intensities with the Lorentz-polarization factor, no thermal factor.

Structural model:
```
11
Lattice="-1.5927 3.1246 8.8782 1.5927 -3.1246 8.8782 1.5927 3.1246 -8.8782" Properties=species:S:1:pos:R:3 pbc="T T T"
V 0.0000 0.0000 0.0000
V 1.5927 1.1795 -2.5289
V 1.5927 1.1795 2.5289
V 0.0000 1.9451 6.3493
V 0.0000 1.9451 11.4072
Ge 1.5927 0.0000 4.8128
Ge 1.5927 1.8022 0.0000
Ge 0.0000 1.3224 8.8782
Ge 0.0000 3.1246 4.0654
Mo 1.5927 0.0000 7.3087
Mo 0.0000 3.1246 1.5695
```

Main lines, low angle first (2θ = 10–90°):
two_theta, intensity
15.03, 43
31.52, 55
40.77, 100
42.05, 48
44.22, 43
45.72, 54


Record 2
Diffraction record for IrPtSe6. The powder diffractogram is simulated, not measured: it uses a GGA-PBE-relaxed structure and copper Kα.
Kinematic intensities with the Lorentz-polarization factor, no thermal factor.

Structural model:
```
8
Lattice="6.1147 0.0000 0.0000 -0.4393 6.1057 0.0000 -2.7150 -3.1654 4.5239" Properties=species:S:1:pos:R:3 pbc="T T T"
Ir 0.0000 0.0000 0.0000
Pt 2.8377 3.0528 0.0000
Se -1.0401 -0.3559 2.2521
Se 0.6677 2.1998 0.9595
Se 1.8469 5.3336 0.6384
Se 1.1135 -2.3933 3.8855
Se 2.2926 0.7404 3.5645
Se 4.0004 3.2962 2.2718
```

Main lines, low angle first (2θ = 10–90°):
two_theta, intensity
19.62, 100
19.84, 89
29.13, 75
29.27, 87
35.92, 91
45.63, 73


Record 3
Diffraction record for La2MgGe4Pd3. The powder diffractogram is simulated, not measured: it uses a GGA-PBE-relaxed structure and copper Kα.
Kinematic intensities with the Lorentz-polarization factor, no thermal factor.

Structural model:
```
10
Lattice="4.3324 0.0000 0.0000 0.0000 4.3324 0.0000 0.0000 0.0000 10.8550" Properties=species:S:1:pos:R:3 pbc="T T T"
La 0.0000 2.1662 2.6272
La 2.1662 0.0000 8.2278
Mg 0.0000 0.0000 5.4275
Ge 0.0000 0.0000 0.0000
Ge 0.0000 2.1662 7.0101
Ge 2.1662 0.0000 3.8449
Ge 2.1662 2.1662 0.0000
Pd 0.0000 2.1662 9.5129
Pd 2.1662 0.0000 1.3421
Pd 2.1662 2.1662 5.4275
```

Main lines, low angle first (2θ = 10–90°):
two_theta, intensity
32.23, 77
33.59, 100
41.70, 67
46.81, 37
53.66, 36
64.46, 27


Record 4
Diffraction record for Na2CaH10C2O11. The powder diffractogram is simulated, not measured: it uses a GGA-PBE-relaxed structure and copper Kα.
Kinematic intensities with the Lorentz-polarization factor, no thermal factor.

Structural model:
```
52
Lattice="7.2984 -3.8533 0.0000 7.2984 3.8533 0.0000 -6.8763 0.0000 8.9478" Properties=species:S:1:pos:R:3 pbc="T T T"
Na 2.4890 2.3712 4.6033
Na 1.7932 2.3712 8.8184
Na 5.9272 -2.3712 0.1294
Na 5.2313 -2.3712 4.3445
Ca 5.5793 2.3731 2.2369
Ca 2.1411 -2.3731 6.7108
H -0.5850 2.3959 8.2905
H 3.5767 0.5033 0.7274
H 3.0007 0.6542 2.2291
H -0.9559 0.8522 8.5272
H 4.8673 2.3959 5.1312
H 0.1386 -0.5033 5.2013
H 1.3935 0.6627 6.5246
H -0.4375 -0.6542 6.7030
H 2.8887 0.6627 6.8970
H 2.4823 -0.8522 4.0533
H 5.2381 0.8522 4.8945
H 4.8317 -0.6627 2.0507
H 8.1579 0.6542 2.2448
H 6.3269 -0.6627 2.4232
H 7.5818 0.5033 3.7465
H 2.8531 -2.3959 3.8166
H 8.6762 -0.8522 0.4206
H 4.7197 -0.6542 6.7187
H 4.1437 -0.5033 8.2204
H 8.3054 -2.3959 0.6573
C 0.5770 0.1888 2.8326
C -2.8612 -0.1888 7.3065
C 10.5816 0.1888 1.6413
C 7.1434 -0.1888 6.1152
O 0.3390 0.0310 1.5628
O -3.0991 -0.0310 6.0367
O -3.8238 0.0600 8.1516
O -0.3856 -0.0600 3.6777
O 6.3226 1.6559 0.0067
O 1.7455 0.5541 3.2649
O 3.8462 0.7084 1.6766
O 2.1411 1.2975 6.7108
O 4.8359 1.6559 4.4672
O -1.6927 -0.5541 7.7388
O 0.4080 -0.7084 6.1505
O 7.3123 0.7084 2.7973
O 9.4131 0.5541 1.2090
O 2.8844 -1.6559 4.4806
O 5.5793 -1.2975 2.2369
O 3.8742 -0.7084 7.2712
O 5.9749 -0.5541 5.6829
O 1.3978 -1.6559 8.9411
O 8.1060 0.0600 5.2701
O 11.5442 -0.0600 0.7962
O 10.8195 0.0310 2.9111
O 7.3814 -0.0310 7.3850
```

Main lines, low angle first (2θ = 10–90°):
two_theta, intensity
13.81, 41
27.82, 100
32.69, 48
33.85, 63
35.69, 29
46.95, 34


Record 5
Diffraction record for Li5Y2Zn5. The powder diffractogram is simulated, not measured: it uses a GGA-PBE-relaxed structure and copper Kα.
Kinematic intensities with the Lorentz-polarization factor, no thermal factor.

Structural model:
```
12
Lattice="4.5164 0.0000 0.0000 0.0000 5.1537 0.0000 0.0000 0.0000 9.2673" Properties=species:S:1:pos:R:3 pbc="T T T"
Li 0.0000 0.0000 0.0000
Li 0.0000 1.2884 2.3603
Li 0.0000 1.2884 6.9070
Li 0.0000 3.8653 2.3603
Li 0.0000 3.8653 6.9070
Y 2.2582 0.0000 4.6336
Y 2.2582 2.5768 0.0000
Zn 0.0000 2.5768 4.6336
Zn 2.2582 0.0000 1.5575
Zn 2.2582 0.0000 7.7098
Zn 2.2582 2.5768 3.0426
Zn 2.2582 2.5768 6.2246
```

Main lines, low angle first (2θ = 10–90°):
two_theta, intensity
19.66, 71
33.83, 40
34.82, 33
39.43, 100
39.92, 26
40.30, 27


Record 6
Diffraction record for Tl17CdIn11. The powder diffractogram is simulated, not measured: it uses a GGA-PBE-relaxed structure and copper Kα.
Kinematic intensities with the Lorentz-polarization factor, no thermal factor.

Structural model:
```
29
Lattice="5.9840 -8.4728 0.0000 5.9840 8.4728 0.0000 -5.9777 0.0000 8.4605" Properties=species:S:1:pos:R:3 pbc="T T T"
Tl 0.0000 0.0000 0.0000
Tl -3.8101 0.0000 5.4083
Tl -1.6453 3.0496 5.4047
Tl -2.0987 5.1241 8.1213
Tl 0.4923 2.7060 2.0618
Tl 3.8905 3.3326 2.6958
Tl 1.7178 2.4126 5.4119
Tl 0.4923 -2.7060 2.0618
Tl -1.6453 -3.0496 5.4047
Tl 2.6220 0.0000 2.9873
Tl 6.4482 2.6918 0.2803
Tl 1.7178 -2.4126 5.4119
Tl -2.0987 -5.1241 8.1213
Tl 6.0058 0.0000 2.3737
Tl 2.5883 0.0000 7.7973
Tl 3.8905 -3.3326 2.6958
Tl 6.4482 -2.6918 0.2803
Cd -0.4943 0.0000 6.9259
In 1.1105 5.3658 3.8186
In 3.2652 6.8910 2.3033
In 3.2754 1.5758 0.0239
In 1.0980 5.3693 7.0010
In -0.4843 0.0000 3.9337
In 3.2754 -1.5758 0.0239
In 4.8341 1.5234 5.4147
In 1.1105 -5.3658 3.8186
In 4.8341 -1.5234 5.4147
In 3.2652 -6.8910 2.3033
In 1.0980 -5.3693 7.0010
```

Main lines, low angle first (2θ = 10–90°):
two_theta, intensity
31.71, 100
35.16, 15
36.78, 9
38.34, 8
56.48, 31
66.24, 7


Record 7
Diffraction record for RbTl2Sn6. The powder diffractogram is simulated, not measured: it uses a GGA-PBE-relaxed structure and copper Kα.
Kinematic intensities with the Lorentz-polarization factor, no thermal factor.

Structural model:
```
9
Lattice="4.9350 0.0000 0.0000 0.0000 4.9350 0.0000 0.0000 0.0000 11.9432" Properties=species:S:1:pos:R:3 pbc="T T T"
Rb 0.0000 0.0000 0.0000
Tl 2.4675 2.4675 1.6728
Tl 2.4675 2.4675 10.2704
Sn 0.0000 0.0000 5.9716
Sn 0.0000 2.4675 3.7376
Sn 0.0000 2.4675 8.2056
Sn 2.4675 0.0000 3.7376
Sn 2.4675 0.0000 8.2056
Sn 2.4675 2.4675 5.9716
```

Main lines, low angle first (2θ = 10–90°):
two_theta, intensity
17.97, 25
28.81, 32
29.65, 56
34.17, 100
36.41, 68
64.09, 34


Record 8
Diffraction record for CsInHPb. The powder diffractogram is simulated, not measured: it uses a GGA-PBE-relaxed structure and copper Kα.
Kinematic intensities with the Lorentz-polarization factor, no thermal factor.

Structural model:
```
4
Lattice="2.8766 -2.8588 0.0000 2.8766 2.8588 0.0000 -2.8711 0.0000 7.3736" Properties=species:S:1:pos:R:3 pbc="T T T"
Cs 0.0000 0.0000 0.0000
In 0.0090 0.0000 4.3628
H 0.0056 0.0000 6.2527
Pb 2.8848 0.0000 3.0509
```

Main lines, low angle first (2θ = 10–90°):
two_theta, intensity
12.00, 27
24.14, 22
28.53, 100
31.09, 30
31.29, 29
48.71, 33


Record 9
Diffraction record for AcNbIr2. The powder diffractogram is simulated, not measured: it uses a GGA-PBE-relaxed structure and copper Kα.
Kinematic intensities with the Lorentz-polarization factor, no thermal factor.

Structural model:
```
4
Lattice="3.2845 0.0000 0.0000 0.0000 3.2845 0.0000 0.0000 0.0000 7.6579" Properties=species:S:1:pos:R:3 pbc="T T T"
Ac 0.0000 0.0000 0.0000
Nb 0.0000 0.0000 3.8289
Ir 1.6422 1.6422 2.3703
Ir 1.6422 1.6422 5.2876
```

Main lines, low angle first (2θ = 10–90°):
two_theta, intensity
29.59, 32
36.03, 100
38.77, 56
53.33, 21
55.99, 20
68.41, 31


Record 10
Diffraction record for Nd5Sm2Y2. The powder diffractogram is simulated, not measured: it uses a GGA-PBE-relaxed structure and copper Kα.
Kinematic intensities with the Lorentz-polarization factor, no thermal factor.

Structural model:
```
18
Lattice="-7.5356 6.0036 3.4375 7.5356 -6.0036 3.4375 7.5356 6.0036 -3.4375" Properties=species:S:1:pos:R:3 pbc="T T T"
Nd 9.7019 2.7686 -1.1871
Nd 5.3694 -3.2350 2.2504
Nd 3.7678 3.1502 -1.3142
Nd 0.7795 2.9343 0.0000
Nd 6.7562 2.9343 0.0000
Nd 3.7678 2.8534 2.1233
Nd -2.1662 3.2350 2.2504
Nd 9.7019 3.2350 2.2504
Nd 0.7795 3.0693 3.4375
Nd 6.7562 3.0693 3.4375
Sm 3.7678 -0.0450 4.2614
Sm 3.7678 6.0485 0.8239
Sm 0.0000 6.0036 1.1752
Sm 0.0000 0.0000 4.6127
Y 1.9073 -0.0688 1.0964
Y 5.6283 -0.0688 1.0964
Y 5.6283 6.0724 -2.3411
Y 9.4429 0.0688 1.0964
```

Main lines, low angle first (2θ = 10–90°):
two_theta, intensity
28.01, 77
29.76, 100
29.95, 91
30.58, 71
32.27, 59
35.22, 57


Record 11
Diffraction record for LaY2Ho5Sc. The powder diffractogram is simulated, not measured: it uses a GGA-PBE-relaxed structure and copper Kα.
Kinematic intensities with the Lorentz-polarization factor, no thermal factor.

Structural model:
```
18
Lattice="2.7987 -9.7990 0.0000 2.7987 9.7990 0.0000 0.0000 0.0000 10.3800" Properties=species:S:1:pos:R:3 pbc="T T T"
La 2.7987 8.1630 5.1900
La 2.7987 -8.1630 0.0000
Y 2.7987 2.2170 8.0761
Y 2.7987 2.1826 3.7516
Y 2.7987 -2.1826 8.9416
Y 2.7987 -2.2170 2.8860
Ho 2.7987 9.4462 8.1323
Ho 2.7987 7.3933 0.6818
Ho 2.7987 5.8132 7.7979
Ho 2.7987 5.4581 3.8094
Ho 2.7987 0.3836 0.7067
Ho 2.7987 -0.3836 5.8967
Ho 2.7987 -5.4581 8.9994
Ho 2.7987 -5.8132 2.6079
Ho 2.7987 -7.3933 5.8718
Ho 2.7987 -9.4462 2.9423
Sc 2.7987 3.8829 0.6126
Sc 2.7987 -3.8829 5.8027
```

Main lines, low angle first (2θ = 10–90°):
two_theta, intensity
27.12, 18
28.65, 23
30.72, 42
31.98, 48
32.80, 100
57.52, 25


Record 12
Diffraction record for Y2ErScTl2. The powder diffractogram is simulated, not measured: it uses a GGA-PBE-relaxed structure and copper Kα.
Kinematic intensities with the Lorentz-polarization factor, no thermal factor.

Structural model:
```
12
Lattice="4.9369 0.0000 0.0000 0.0000 9.7551 0.0000 0.0000 0.0000 6.8744" Properties=species:S:1:pos:R:3 pbc="T T T"
Y 0.0000 0.4769 0.0000
Y 0.0000 9.2783 3.4372
Y 2.4684 1.8792 1.9772
Y 2.4684 7.8759 5.4144
Er 2.4684 4.4070 6.1642
Er 2.4684 5.3482 2.7270
Sc 0.0000 2.9838 4.1875
Sc 0.0000 6.7714 0.7503
Tl 0.0000 3.7350 1.1563
Tl 0.0000 6.0202 4.5935
Tl 2.4684 1.3351 5.0836
Tl 2.4684 8.4201 1.6464
```

Main lines, low angle first (2θ = 10–90°):
two_theta, intensity
22.35, 24
23.99, 22
31.72, 30
33.03, 100
35.54, 32
36.40, 32